Simulated powder XRD pattern of MgTiP3WO12 for λ = 1.5418 Å (Cu Kα), from a structure optimized by DFT (GGA+U).

a b c (Å): 8.6628 8.6628 8.6628
angles (deg): 60.80 60.80 60.80
Element x y z (fractional)
1 Mg 0.0000 0.0000 0.0000
2 Mg 0.5000 0.5000 0.5000
3 Ti 0.3547 0.3547 0.3547
4 Ti 0.8547 0.8547 0.8547
5 P 0.0532 0.4590 0.7409
6 P 0.2409 0.9590 0.5532
7 P 0.4590 0.7409 0.0532
8 P 0.5532 0.2409 0.9590
9 P 0.7409 0.0532 0.4590
10 P 0.9590 0.5532 0.2409
11 W 0.1425 0.1425 0.1425
12 W 0.6425 0.6425 0.6425
13 O 0.9996 0.6236 0.8081
14 O 0.0008 0.4083 0.1659
15 O 0.0655 0.2646 0.8968
16 O 0.0861 0.9476 0.7492
17 O 0.1236 0.4996 0.3081
18 O 0.1659 0.0008 0.4083
19 O 0.2492 0.4477 0.5861
20 O 0.2646 0.8968 0.0655
21 O 0.3081 0.1236 0.4996
22 O 0.3968 0.7646 0.5655
23 O 0.4083 0.1659 0.0008
24 O 0.4476 0.5861 0.2492
25 O 0.4996 0.3081 0.1236
26 O 0.5008 0.6659 0.9083
27 O 0.5655 0.3968 0.7646
28 O 0.5861 0.2492 0.4476
29 O 0.6236 0.8081 0.9996
30 O 0.6659 0.9083 0.5008
31 O 0.7492 0.0861 0.9477
32 O 0.7646 0.5655 0.3968
33 O 0.8081 0.9996 0.6236
34 O 0.8968 0.0655 0.2646
35 O 0.9083 0.5008 0.6659
36 O 0.9476 0.7492 0.0861

Most intense lines, 2θ from 10° to 90°, in order of rising 2θ:
14.38°, d = 6.162 Å, rel. 73; 20.26°, d = 4.384 Å, rel. 100; 20.51°, d = 4.331 Å, rel. 75; 23.92°, d = 3.720 Å, rel. 52; 24.93°, d = 3.572 Å, rel. 26; 28.98°, d = 3.081 Å, rel. 38; 32.65°, d = 2.742 Å, rel. 70; 35.47°, d = 2.531 Å, rel. 40; 35.62°, d = 2.521 Å, rel. 37; 46.79°, d = 1.941 Å, rel. 30